(1)
Starting from DFT lattice parameters and positions (PBE+U), the powder X-ray diffraction pattern of TiZnNiP3O12 was computed for a wavelength of 1.5418 Å.
No peak broadening, texture or thermal motion is included.

Peak list (10 most intense, 10 to 80 degrees two-theta, in order of rising 2θ)
2θ (°), d/Å, I (rel.)
20.65, 4.302, 100
24.35, 3.655, 100
25.40, 3.507, 21
33.19, 2.699, 81
36.17, 2.484, 43
47.61, 1.910, 37
49.90, 1.828, 30
56.61, 1.626, 28
56.92, 1.618, 18
63.16, 1.472, 23

Atomic structure:
Cell lengths 8.5278, 8.5278, 8.5278 Å; angles 60.59, 60.59, 60.59 degrees
Fractional coordinates of all 36 atoms:
Ti (0.0000, 0.0000, 0.0000)
Ti (0.5000, 0.5000, 0.5000)
Zn (0.1473, 0.1473, 0.1473)
Zn (0.6473, 0.6473, 0.6473)
Ni (0.2874, 0.2874, 0.2874)
Ni (0.7874, 0.7874, 0.7874)
P (0.0986, 0.3947, 0.6863)
P (0.1863, 0.8947, 0.5986)
P (0.3947, 0.6863, 0.0986)
P (0.5986, 0.1863, 0.8947)
P (0.6863, 0.0986, 0.3947)
P (0.8947, 0.5986, 0.1863)
O (0.0294, 0.8357, 0.6299)
O (0.0569, 0.4036, 0.2029)
O (0.0892, 0.2313, 0.8837)
O (0.1299, 0.3357, 0.5294)
O (0.1399, 0.9575, 0.7641)
O (0.2029, 0.0569, 0.4036)
O (0.2313, 0.8837, 0.0892)
O (0.2641, 0.4575, 0.6399)
O (0.3357, 0.5294, 0.1299)
O (0.3837, 0.7313, 0.5892)
O (0.4036, 0.2029, 0.0569)
O (0.4575, 0.6399, 0.2641)
O (0.5294, 0.1299, 0.3357)
O (0.5569, 0.7029, 0.9036)
O (0.5892, 0.3837, 0.7313)
O (0.6299, 0.0294, 0.8357)
O (0.6399, 0.2641, 0.4575)
O (0.7029, 0.9036, 0.5569)
O (0.7313, 0.5892, 0.3837)
O (0.7641, 0.1399, 0.9575)
O (0.8357, 0.6299, 0.0294)
O (0.8837, 0.0892, 0.2313)
O (0.9036, 0.5569, 0.7029)
O (0.9575, 0.7641, 0.1399)

---

(2)
Starting from DFT lattice parameters and positions (PBE+U), the powder X-ray diffraction pattern of Li3MnCo2O6 was computed for a wavelength of 1.5418 Å.
No peak broadening, texture or thermal motion is included.

Peak list (10 most intense, 10 to 80 degrees two-theta, in order of rising 2θ)
2θ (°), d/Å, I (rel.)
18.29, 4.850, 100
34.07, 2.632, 20
35.95, 2.498, 13
36.83, 2.440, 17
40.96, 2.203, 32
43.66, 2.073, 25
45.01, 2.014, 23
61.10, 1.517, 8
61.70, 1.503, 8
65.20, 1.431, 9

Atomic structure:
Cell lengths 5.0923, 6.4279, 6.9102 Å; angles 84.37, 79.81, 84.57 degrees
Fractional coordinates of all 24 atoms:
Li (0.0000, 0.0000, 0.0000)
Li (0.0008, 0.6679, 0.3321)
Li (0.4987, 0.8292, 0.1718)
Li (0.5000, 0.5000, 0.5000)
Li (0.5013, 0.1708, 0.8282)
Li (0.9992, 0.3321, 0.6679)
Mn (0.2562, 0.2497, 0.2514)
Mn (0.7438, 0.7503, 0.7486)
Co (0.2460, 0.5838, 0.9162)
Co (0.2482, 0.9213, 0.5843)
Co (0.7518, 0.0787, 0.4157)
Co (0.7540, 0.4162, 0.0838)
O (0.1086, 0.3139, 0.9611)
O (0.1112, 0.6450, 0.6264)
O (0.1335, 0.9711, 0.2967)
O (0.3727, 0.1914, 0.5448)
O (0.3759, 0.8575, 0.8670)
O (0.3961, 0.5232, 0.2014)
O (0.6039, 0.4768, 0.7986)
O (0.6241, 0.1425, 0.1330)
O (0.6273, 0.8086, 0.4552)
O (0.8665, 0.0289, 0.7033)
O (0.8888, 0.3550, 0.3736)
O (0.8914, 0.6861, 0.0389)